Starting from the PBE+U geometry in Alexandria, the powder diffractogram of Ac2FePdO6 was computed for Cu Kα, 1.54184 Å.
No peak broadening, texture or thermal motion is included.

Atomic structure:
```
data_Ac2FePdO6
_chemical_formula_sum 'Ac2 Fe1 Pd1 O6'
_cell_length_a 5.692
_cell_length_b 5.692
_cell_length_c 4.096
_cell_angle_alpha 90.00
_cell_angle_beta 90.00
_cell_angle_gamma 90.00
_symmetry_space_group_name_H-M 'P 1'
_symmetry_Int_Tables_number 1
loop_
_symmetry_equiv_pos_as_xyz
'x,y,z'
loop_
_atom_site_label
_atom_site_fract_x
_atom_site_fract_y
_atom_site_fract_z
Ac1 0.000 0.500 0.000
Ac2 0.500 0.000 0.000
Fe1 0.000 0.000 0.500
Pd1 0.500 0.500 0.500
O1 0.000 0.000 0.000
O2 0.245 0.245 0.500
O3 0.245 0.755 0.500
O4 0.500 0.500 0.000
O5 0.755 0.245 0.500
O6 0.755 0.755 0.500
```

Most intense lines, 2θ = 10–90°, low angle first:
d/Å, 2θ (°), I (rel.), index
4.096, 21.69, 10, 0 0 1
4.025, 22.09, 19, 1 1 0
2.871, 31.15, 100, 1 1 1
2.846, 31.43, 49, 2 0 0
2.337, 38.52, 24, 2 0 1
2.048, 44.22, 14, 0 0 2
2.012, 45.05, 27, 2 2 0
1.662, 55.26, 21, 2 0 2
1.648, 55.79, 40, 3 1 1
1.435, 64.96, 17, 2 2 2
1.293, 73.19, 9, 1 1 3
1.169, 82.55, 9, 4 0 2